Starting from a cell relaxed with PBE, the PXRD pattern of Cd2SI was simulated for a wavelength of 1.5418 Å.
Kinematic intensities with the Lorentz-polarization factor, no thermal factor.

Top 10 peaks for 2θ from 10° to 90°, in order of rising 2θ:
two_theta, d [Å], intensity, (hkl)
23.88, 3.727, 100, 1 0 1
24.73, 3.600, 45, 0 1 2
33.38, 2.685, 20, 0 0 9
35.25, 2.546, 19, 1 0 7
38.18, 2.357, 58, 0 1 8
41.47, 2.178, 50, 1 1 0
44.54, 2.034, 19, 1 0 10
54.24, 1.691, 29, 1 1 9
57.62, 1.600, 17, 2 0 8
73.45, 1.289, 16, 1 2 8

Atomic structure:
```
data_Cd2SI
_chemical_formula_sum 'Cd6 S3 I3'
_space_group_name_H-M_alt 'P 32 2 1'
_space_group_IT_number 154
_cell_length_a 4.3553
_cell_length_b 4.3553
_cell_length_c 24.1605
_cell_angle_alpha 90.00
_cell_angle_beta 90.00
_cell_angle_gamma 120.00
loop_
_space_group_symop_operation_xyz
'x,y,z'
'-y,x-y,z+2/3'
'-x+y,-x,z+1/3'
'y,x,-z'
'x-y,-y,-z+1/3'
'-x,-x+y,-z+2/3'
loop_
_atom_site_label
_atom_site_type_symbol
_atom_site_fract_x
_atom_site_fract_y
_atom_site_fract_z
Cd1 Cd 0.0042 0.6668 0.2162
S1 S 0.0000 0.6704 0.8333
I1 I 0.0000 0.6646 0.3333
```